(1)
Structure and calculated XRD peak list of MgMn4Cr2O12 (the GGA+U geometry in the Materials Project; λ = 1.5418 Å (Cu Kα)).
Kinematic intensities with the Lorentz-polarization factor, no thermal factor.

Peak list (10 most intense, 2θ = 10–90°, by angle)
hkl	d [Å]	2theta	I/Imax
0 0 2	5.072	17.49	100
3 1 -1	2.480	36.22	11
3 1 1	2.470	36.37	17
0 2 2	2.273	39.65	18
3 1 -3	2.046	44.28	16
3 1 3	2.029	44.67	13
0 2 4	1.796	50.84	12
3 1 5	1.582	58.34	9
3 3 -1	1.456	63.94	8
3 3 1	1.454	64.04	7

```
data_MgMn4Cr2O12
_chemical_formula_sum 'Mg2 Mn8 Cr4 O24'
_cell_length_a 8.8526
_cell_length_b 5.0868
_cell_length_c 10.1443
_cell_angle_alpha 90.00
_cell_angle_beta 90.57
_cell_angle_gamma 90.00
_symmetry_space_group_name_H-M 'C 1 2 1'
_symmetry_Int_Tables_number 5
loop_
_symmetry_equiv_pos_as_xyz
'x,y,z'
'-x,y,-z'
'x+1/2,y+1/2,z'
'-x+1/2,y+1/2,-z'
loop_
_atom_site_label
_atom_site_type_symbol
_atom_site_fract_x
_atom_site_fract_y
_atom_site_fract_z
_atom_site_occupancy
Mg1 Mg 0.0000 0.0000 0.0000 1
Mn1 Mn 0.0840 0.4152 0.2508 1
Mn2 Mn 0.0858 0.9132 0.7369 1
Cr1 Cr 0.2501 0.4166 0.7477 1
O1 O 0.0731 0.7597 0.1501 1
O2 O 0.0773 0.5803 0.6525 1
O3 O 0.0780 0.2319 0.8504 1
O4 O 0.0819 0.0915 0.3483 1
O5 O 0.2469 0.5758 0.3480 1
O6 O 0.2504 0.2597 0.1540 1
```

(2)
Structure and calculated XRD peak list of MgMn5CrP6O24 (the GGA+U geometry in the Materials Project; λ = 1.5418 Å (Cu Kα)).
Kinematic intensities with the Lorentz-polarization factor, no thermal factor.

Peak list (10 most intense, 2θ = 10–90°, by angle)
hkl	d [Å]	2theta	I/Imax
0 1 1	4.398	20.19	85
1 0 -2	4.330	20.51	100
1 0 1	3.830	23.22	46
0 1 -2	3.785	23.51	41
0 2 -1	3.699	24.06	71
-1 2 1	3.642	24.44	55
2 -1 1	2.833	31.58	52
1 -2 2	2.818	31.76	54
1 -3 1	2.745	32.62	38
1 2 0	2.532	35.46	41

```
data_MgMn5CrP6O24
_chemical_formula_sum 'Mg1 Mn5 Cr1 P6 O24'
_cell_length_a 8.5144
_cell_length_b 8.5805
_cell_length_c 8.6572
_cell_angle_alpha 92.19
_cell_angle_beta 117.07
_cell_angle_gamma 118.94
_symmetry_space_group_name_H-M 'P 1'
_symmetry_Int_Tables_number 1
loop_
_symmetry_equiv_pos_as_xyz
'x,y,z'
loop_
_atom_site_label
_atom_site_type_symbol
_atom_site_fract_x
_atom_site_fract_y
_atom_site_fract_z
_atom_site_occupancy
Mg1 Mg 0.0000 0.0000 0.0000 1
Mn1 Mn 0.1813 0.4978 0.2815 1
Mn2 Mn 0.5700 0.7661 0.9633 1
Mn3 Mn 0.6097 0.2856 0.4928 1
Mn4 Mn 0.8649 0.1202 0.5980 1
Mn5 Mn 0.8719 0.6133 0.1350 1
Cr1 Cr 0.1759 0.9863 0.7729 1
P1 P 0.0853 0.5813 0.5812 1
P2 P 0.1232 0.1041 0.3956 1
P3 P 0.3634 0.8827 0.1642 1
P4 P 0.3923 0.3908 0.0928 1
P5 P 0.6812 0.6794 0.6726 1
P6 P 0.6893 0.1669 0.8836 1
O1 O 0.0587 0.0612 0.5401 1
O2 O 0.0590 0.5709 0.3882 1
O3 O 0.0592 0.7375 0.6244 1
O4 O 0.0903 0.2556 0.3320 1
O5 O 0.1974 0.7172 0.1888 1
O6 O 0.2067 0.2134 0.9106 1
O7 O 0.2268 0.9412 0.0201 1
O8 O 0.2676 0.4539 0.1278 1
O9 O 0.2894 0.6034 0.7229 1
O10 O 0.3535 0.1619 0.4866 1
O11 O 0.4607 0.0885 0.8271 1
O12 O 0.4757 0.8293 0.0994 1
O13 O 0.4821 0.6552 0.5225 1
O14 O 0.5135 0.3380 0.2458 1
O15 O 0.5462 0.0427 0.3534 1
O16 O 0.5576 0.5492 0.0595 1
O17 O 0.7176 0.7077 0.8737 1
O18 O 0.7195 0.5279 0.6498 1
O19 O 0.7251 0.1815 0.7233 1
O20 O 0.7488 0.0238 0.9560 1
O21 O 0.8413 0.3599 0.0376 1
O22 O 0.8751 0.8860 0.7146 1
O23 O 0.8987 0.3829 0.5533 1
O24 O 0.9802 0.9230 0.2220 1
```

(3)
Structure and calculated XRD peak list of MgMn5CrP6O24 (the GGA+U geometry in the Materials Project; λ = 1.5418 Å (Cu Kα)).
Kinematic intensities with the Lorentz-polarization factor, no thermal factor.

Peak list (10 most intense, 2θ = 10–90°, by angle)
hkl	d [Å]	2theta	I/Imax
1 -1 1	4.387	20.24	81
1 1 2	4.355	20.39	61
0 2 1	4.334	20.49	87
0 1 -1	3.858	23.05	56
0 1 2	3.817	23.31	54
-1 2 1	3.675	24.22	52
2 -1 1	3.606	24.69	100
1 1 -1	2.856	31.32	53
-1 1 2	2.832	31.59	68
3 1 2	2.656	33.74	63

```
data_MgMn5CrP6O24
_chemical_formula_sum 'Mg1 Mn5 Cr1 P6 O24'
_cell_length_a 8.3719
_cell_length_b 8.6682
_cell_length_c 8.7296
_cell_angle_alpha 60.76
_cell_angle_beta 61.83
_cell_angle_gamma 89.75
_symmetry_space_group_name_H-M 'P 1'
_symmetry_Int_Tables_number 1
loop_
_symmetry_equiv_pos_as_xyz
'x,y,z'
loop_
_atom_site_label
_atom_site_type_symbol
_atom_site_fract_x
_atom_site_fract_y
_atom_site_fract_z
_atom_site_occupancy
Mg1 Mg 0.0000 0.0000 0.0000 1
Mn1 Mn 0.1933 0.7776 0.2072 1
Mn2 Mn 0.2587 0.1462 0.4726 1
Mn3 Mn 0.3190 0.4901 0.7926 1
Mn4 Mn 0.7436 0.6221 0.5200 1
Mn5 Mn 0.8059 0.9799 0.7957 1
Cr1 Cr 0.6787 0.2789 0.2151 1
P1 P 0.0094 0.0968 0.2910 1
P2 P 0.4803 0.1785 0.7061 1
P3 P 0.4988 0.5899 0.0014 1
P4 P 0.5250 0.8885 0.2881 1
P5 P 0.9910 0.3856 0.7191 1
P6 P 0.9994 0.6715 0.0014 1
O1 O 0.0023 0.8710 0.8413 1
O2 O 0.0071 0.2044 0.7115 1
O3 O 0.0218 0.0583 0.4775 1
O4 O 0.1816 0.2497 0.0886 1
O5 O 0.1825 0.6470 0.8696 1
O6 O 0.1828 0.4494 0.6848 1
O7 O 0.2824 0.0440 0.8955 1
O8 O 0.3174 0.6356 0.1058 1
O9 O 0.3615 0.8308 0.2742 1
O10 O 0.4822 0.3990 0.1751 1
O11 O 0.4856 0.2077 0.5127 1
O12 O 0.4898 0.0525 0.3171 1
O13 O 0.5113 0.3691 0.6818 1
O14 O 0.5145 0.5729 0.8248 1
O15 O 0.5312 0.7294 0.4705 1
O16 O 0.6414 0.1053 0.7249 1
O17 O 0.6808 0.7372 0.8946 1
O18 O 0.7210 0.9503 0.0895 1
O19 O 0.8196 0.1264 0.3205 1
O20 O 0.8218 0.3332 0.9288 1
O21 O 0.8219 0.5155 0.1291 1
O22 O 0.9722 0.5324 0.5394 1
O23 O 0.9951 0.7118 0.1633 1
O24 O 0.9984 0.9105 0.2913 1
```

- What is the formula in the first record?
  MgMn4Cr2O12